Theoretical powder XRD pattern
Compound: K2LiH2Se2O6
Radiation: Cu Ka
Structure: DFT lattice parameters and positions (GGA-PBE)
Intensities are scaled so that the largest is 100.

abc: 5.236 6.883 7.169
angles: 115.56 97.18 104.94
Space group P1 (No. 1)
Asymmetric unit:
1 K 0.000 0.000 0.000 [1 per cell]
2 K 0.306 0.586 0.653 [1 per cell]
3 Li 0.119 0.946 0.517 [1 per cell]
4 H 0.432 0.746 0.141 [1 per cell]
5 H 0.742 0.725 0.510 [1 per cell]
6 Se 0.635 0.129 0.430 [1 per cell]
7 Se 0.718 0.459 0.063 [1 per cell]
8 O 0.408 0.478 0.111 [1 per cell]
9 O 0.461 0.900 0.143 [1 per cell]
10 O 0.504 0.982 0.553 [1 per cell]
11 O 0.748 0.514 0.855 [1 per cell]
12 O 0.919 0.735 0.581 [1 per cell]
13 O 0.965 0.136 0.440 [1 per cell]

Most intense lines, 2θ = 5–70°, most intense first:
- hkl -1 1 1, 2θ = 25.48°, d 3.495, rel. 100
- hkl 1 -2 1, 2θ = 28.42°, d 3.141, rel. 70
- hkl 1 0 0, 2θ = 18.22°, d 4.870, rel. 58
- hkl 2 -1 0, 2θ = 34.63°, d 2.590, rel. 55
- hkl 1 1 -1, 2θ = 24.78°, d 3.593, rel. 53
- hkl 0 2 -1, 2θ = 26.81°, d 3.325, rel. 52